This entry pairs a crystal structure of Fe3S2O15 with its calculated powder diffractogram. Radiation: CuKα. Structure: a structure optimized by DFT (PBE+U).
Intensities are scaled so that the largest is 100.

Most intense lines, 2θ = 5–70°, by angle:
- 14.4°, 6.150 Å, I = 43
- 15.1°, 5.850 Å, I = 18
- 17.3°, 5.128 Å, I = 100
- 29.0°, 3.081 Å, I = 64
- 29.4°, 3.042 Å, I = 61
- 37.1°, 2.424 Å, I = 17
- 44.2°, 2.050 Å, I = 13
- 46.6°, 1.950 Å, I = 22
- 51.3°, 1.781 Å, I = 21
- 58.3°, 1.583 Å, I = 16

Cell and atoms:
```
Fe3S2O15
1.0
3.561 2.056 6.150
-3.561 2.056 6.150
0.000 -4.112 6.150
Fe S O
3 2 15
Cartesian
-1.749 -1.010 6.150
1.749 -1.010 6.150
0.000 2.020 6.150
0.000 0.000 3.679
0.000 0.000 14.735
-2.335 -1.348 8.083
0.000 0.000 2.227
0.000 -1.596 6.566
-1.382 0.798 6.566
0.000 -2.697 10.330
-2.336 1.349 10.330
-1.186 -0.684 11.749
0.000 0.000 8.064
1.382 0.798 6.566
2.335 -1.348 8.083
0.000 2.697 8.083
1.186 -0.684 11.749
0.000 1.369 11.749
0.000 0.000 16.184
2.336 1.349 10.330
```